Structure and theoretical PXRD pattern of Rb3ScV2O8 (DFT lattice parameters and positions (PBE+U); Cu Kα (λ = 1.5418 Å)).

Largest 10 diffraction maxima, by intensity, 10° ≤ 2θ ≤ 80°:
- 2θ = 30.17°, rel. 100, (1 1 0)
- 2θ = 28.42°, rel. 83, (0 1 2)
- 2θ = 41.92°, rel. 43, (2 0 2)
- 2θ = 52.51°, rel. 28, (1 2 2)
- 2θ = 55.72°, rel. 22, (1 1 4)
- 2θ = 53.59°, rel. 18, (3 0 0)
- 2θ = 62.74°, rel. 18, (2 2 0)
- 2θ = 36.82°, rel. 15, (0 2 1)
- 2θ = 33.85°, rel. 15, (0 0 3)
- 2θ = 45.97°, rel. 12, (1 1 3)

Crystal structure
```
Rb3ScV2O8
1.0
5.9241 0.0000 0.0000
-2.9620 5.1304 0.0000
0.0000 0.0000 7.9445
Rb Sc V O
3 1 2 8
direct
0.0000 0.0000 0.0000 Rb
0.3333 0.6667 0.7103 Rb
0.6667 0.3333 0.2897 Rb
0.0000 0.0000 0.5000 Sc
0.3333 0.6667 0.2721 V
0.6667 0.3333 0.7279 V
0.1704 0.3407 0.3447 O
0.1704 0.8296 0.3447 O
0.3333 0.6667 0.0599 O
0.3407 0.1704 0.6553 O
0.6593 0.8296 0.3447 O
0.6667 0.3333 0.9401 O
0.8296 0.1704 0.6553 O
0.8296 0.6593 0.6553 O
```

***

Structure and theoretical PXRD pattern of Rb2ScWO6 (DFT lattice parameters and positions (PBE+U); Cu Kα (λ = 1.5418 Å)).

Largest 10 diffraction maxima, by intensity, 10° ≤ 2θ ≤ 80°:
- 2θ = 27.63°, rel. 100, (1 1 0)
- 2θ = 15.85°, rel. 90, (1 0 0)
- 2θ = 32.07°, rel. 51, (1 1 1)
- 2θ = 22.57°, rel. 50, (1 0 1)
- 2θ = 15.97°, rel. 50, (0 0 1)
- 2θ = 36.14°, rel. 47, (1 0 2)
- 2θ = 54.58°, rel. 40, (2 1 2)
- 2θ = 46.09°, rel. 40, (0 2 2)
- 2θ = 35.97°, rel. 34, (0 2 1)
- 2θ = 48.86°, rel. 19, (3 0 0)

Crystal structure
```
Rb2ScWO6
1.0
6.4570 0.0000 0.0000
-3.2285 5.5919 0.0000
0.0000 0.0000 5.5497
Rb Sc W O
2 1 1 6
direct
0.3333 0.6667 0.3358 Rb
0.6667 0.3333 0.6642 Rb
0.0000 0.0000 0.0000 Sc
0.0000 0.0000 0.5000 W
0.1350 0.2701 0.7237 O
0.1350 0.8650 0.7237 O
0.2701 0.1350 0.2763 O
0.7299 0.8650 0.7237 O
0.8650 0.1350 0.2763 O
0.8650 0.7299 0.2763 O
```